Record 1
Theoretical X-ray powder pattern
Compound: LiV2C4O12
Radiation: Cu Ka
Structure: a DFT-relaxed cell (GGA+U, the Materials Project)

Structural model:
Unit cell a=8.2089 b=5.8777 c=12.2568 alpha=90.00 beta=131.60 gamma=90.00
Positions (direct):
Li1 0.0000 0.0673 0.0000
Li2 0.0000 0.9327 0.5000
V1 0.5725 0.4576 0.6752
V2 0.5725 0.5424 0.1752
V3 0.9877 0.4988 0.1742
V4 0.9877 0.5012 0.6742
C1 0.0660 0.4954 0.4552
C2 0.0660 0.5046 0.9552
C3 0.4722 0.0272 0.1664
C4 0.4722 0.9728 0.6664
C5 0.5016 0.4981 0.3937
C6 0.5016 0.5019 0.8937
C7 0.9873 0.0676 0.6788
C8 0.9873 0.9324 0.1788
O1 0.0241 0.4018 0.0251
O2 0.0241 0.5982 0.5251
O3 0.0892 0.1892 0.7953
O4 0.0892 0.8108 0.2953
O5 0.2511 0.4098 0.5119
O6 0.2511 0.5902 0.0119
O7 0.3058 0.0087 0.6461
O8 0.3058 0.9913 0.1461
O9 0.3110 0.4315 0.3214
O10 0.3110 0.5685 0.8214
O11 0.5376 0.2358 0.1705
O12 0.5376 0.7642 0.6705
O13 0.5855 0.4224 0.8423
O14 0.5855 0.5776 0.3423
O15 0.6043 0.1311 0.6868
O16 0.6043 0.8689 0.1868
O17 0.6392 0.4852 0.5401
O18 0.6392 0.5148 0.0401
O19 0.9078 0.4810 0.3109
O20 0.9078 0.5190 0.8109
O21 0.9107 0.1869 0.5617
O22 0.9107 0.8131 0.0617
O23 0.9565 0.1455 0.1704
O24 0.9565 0.8545 0.6704

Principal peaks in the range 10° ≤ 2θ ≤ 90°, low angle first:
- d = 5.878 Å, I = 1000
- d = 4.583 Å, I = 589
- d = 4.104 Å, I = 258
- d = 3.069 Å, I = 295
- d = 3.046 Å, I = 252
- d = 2.939 Å, I = 280
- d = 2.721 Å, I = 111
- d = 2.704 Å, I = 140

***

Record 2
Theoretical X-ray powder pattern
Compound: Li3Mn8O4F12
Radiation: Cu Ka
Structure: a DFT-relaxed cell (GGA+U, the Materials Project)

Structural model:
Unit cell a=6.1963 b=6.3917 c=10.3857 alpha=88.93 beta=72.71 gamma=61.46
Positions (direct):
Li1 0.0000 0.0000 0.0000
Li2 0.3897 0.8026 0.4218
Li3 0.6103 0.1974 0.5782
Mn1 0.0000 0.5000 0.0000
Mn2 0.0021 0.7436 0.7511
Mn3 0.0166 0.2474 0.7248
Mn4 0.4969 0.2594 0.2455
Mn5 0.5000 0.5000 0.0000
Mn6 0.5031 0.7406 0.7545
Mn7 0.9834 0.7526 0.2752
Mn8 0.9979 0.2564 0.2489
O1 0.2122 0.4179 0.1284
O2 0.2185 0.6397 0.8921
O3 0.7815 0.3603 0.1079
O4 0.7878 0.5821 0.8716
F1 0.2086 0.8882 0.1344
F2 0.2408 0.0969 0.8655
F3 0.2496 0.3901 0.6283
F4 0.2525 0.8770 0.6232
F5 0.2678 0.1126 0.3588
F6 0.2768 0.6043 0.3643
F7 0.7232 0.3957 0.6357
F8 0.7322 0.8874 0.6412
F9 0.7475 0.1230 0.3768
F10 0.7504 0.6099 0.3717
F11 0.7592 0.9031 0.1345
F12 0.7914 0.1118 0.8656

Principal peaks in the range 10° ≤ 2θ ≤ 90°, low angle first:
- d = 5.142 Å, I = 160
- d = 4.904 Å, I = 465
- d = 4.554 Å, I = 331
- d = 3.018 Å, I = 170
- d = 2.277 Å, I = 587
- d = 2.162 Å, I = 1000
- d = 1.606 Å, I = 176
- d = 1.595 Å, I = 174

***

Record 3
Theoretical X-ray powder pattern
Compound: BaSrNdWO6
Radiation: Cu Ka
Structure: a DFT-relaxed cell (GGA+U, the Materials Project)

Structural model:
Unit cell a=8.5550 b=8.5916 c=8.6006 alpha=90.00 beta=90.00 gamma=90.00
Positions (direct):
Ba1 0.0000 0.0000 0.0000
Ba2 0.0000 0.0000 0.5000
Ba3 0.5000 0.0000 0.0000
Ba4 0.5000 0.5000 0.5000
Sr1 0.0000 0.5000 0.0000
Sr2 0.0000 0.5000 0.5000
Sr3 0.5000 0.0000 0.5000
Sr4 0.5000 0.5000 0.0000
Nd1 0.2505 0.2525 0.2506
Nd2 0.2505 0.7475 0.7494
Nd3 0.7495 0.2525 0.7494
Nd4 0.7495 0.7475 0.2506
W1 0.2506 0.2533 0.7503
W2 0.2506 0.7467 0.2497
W3 0.7494 0.2533 0.2497
W4 0.7494 0.7467 0.7503
O1 0.0202 0.2884 0.7832
O2 0.0202 0.7116 0.2168
O3 0.2123 0.2889 0.5188
O4 0.2123 0.7111 0.4812
O5 0.2240 0.0204 0.7234
O6 0.2240 0.9796 0.2766
O7 0.2793 0.2258 0.9828
O8 0.2793 0.7742 0.0172
O9 0.2893 0.4815 0.7859
O10 0.2893 0.5185 0.2141
O11 0.4795 0.2153 0.7114
O12 0.4795 0.7847 0.2886
O13 0.5205 0.2153 0.2886
O14 0.5205 0.7847 0.7114
O15 0.7107 0.4815 0.2141
O16 0.7107 0.5185 0.7859
O17 0.7207 0.2258 0.0172
O18 0.7207 0.7742 0.9828
O19 0.7760 0.0204 0.2766
O20 0.7760 0.9796 0.7234
O21 0.7877 0.2889 0.4812
O22 0.7877 0.7111 0.5188
O23 0.9798 0.2884 0.2168
O24 0.9798 0.7116 0.7832

Principal peaks in the range 10° ≤ 2θ ≤ 90°, low angle first:
- d = 3.034 Å, I = 1000
- d = 2.149 Å, I = 182
- d = 2.139 Å, I = 90
- d = 1.753 Å, I = 292
- d = 1.749 Å, I = 144
- d = 1.516 Å, I = 110
- d = 1.359 Å, I = 92
- d = 1.148 Å, I = 113

***

Record 4
Theoretical X-ray powder pattern
Compound: Ba3LaZnReWO12
Radiation: Cu Ka
Structure: a DFT-relaxed cell (GGA+U, the Materials Project)

Structural model:
Unit cell a=9.8289 b=9.8289 c=9.8289 alpha=33.95 beta=33.95 gamma=33.95
Positions (direct):
Ba1 0.0000 0.0000 0.0000
Ba2 0.1602 0.1602 0.1602
Ba3 0.5775 0.5775 0.5775
La1 0.7417 0.7417 0.7417
Zn1 0.8684 0.8684 0.8684
Re1 0.2911 0.2911 0.2911
W1 0.4469 0.4469 0.4469
O1 0.0091 0.4855 0.4855
O2 0.0913 0.0913 0.5621
O3 0.0913 0.5621 0.0913
O4 0.1590 0.6538 0.6538
O5 0.2480 0.2480 0.7383
O6 0.2480 0.7383 0.2480
O7 0.4855 0.0091 0.4855
O8 0.4855 0.4855 0.0091
O9 0.5621 0.0913 0.0913
O10 0.6538 0.1590 0.6538
O11 0.6538 0.6538 0.1590
O12 0.7383 0.2480 0.2480

Principal peaks in the range 10° ≤ 2θ ≤ 90°, low angle first:
- d = 3.100 Å, I = 1000
- d = 2.870 Å, I = 933
- d = 2.106 Å, I = 529
- d = 1.698 Å, I = 348
- d = 1.657 Å, I = 187
- d = 1.550 Å, I = 161
- d = 1.435 Å, I = 174
- d = 1.364 Å, I = 166

***

Record 5
Theoretical X-ray powder pattern
Compound: Li4Cr3GaO8
Radiation: Cu Ka
Structure: a DFT-relaxed cell (GGA+U, the Materials Project)

Structural model:
Unit cell a=5.9194 b=5.9194 c=5.1607 alpha=106.64 beta=106.64 gamma=59.89
Positions (direct):
Li1 0.0002 0.9998 0.0000
Li2 0.9999 0.5002 0.0001
Li3 0.4998 0.0001 0.9999
Li4 0.5000 0.5000 0.0000
Cr1 0.2477 0.2507 0.4999
Cr2 0.7493 0.7523 0.5001
Cr3 0.7509 0.2491 0.5000
Ga1 0.2507 0.7493 0.5000
O1 0.1214 0.6220 0.7261
O2 0.1222 0.1191 0.7270
O3 0.3780 0.8786 0.2739
O4 0.3792 0.3789 0.2754
O5 0.6199 0.1226 0.7267
O6 0.6211 0.6208 0.7246
O7 0.8774 0.3801 0.2733
O8 0.8809 0.8778 0.2730

Principal peaks in the range 10° ≤ 2θ ≤ 90°, low angle first:
- d = 4.871 Å, I = 1000
- d = 2.523 Å, I = 420
- d = 2.417 Å, I = 132
- d = 2.097 Å, I = 784
- d = 1.618 Å, I = 142
- d = 1.487 Å, I = 211
- d = 1.480 Å, I = 145
- d = 1.416 Å, I = 96

***

Record 6
Theoretical X-ray powder pattern
Compound: LiCoBO3
Radiation: Cu Ka
Structure: a DFT-relaxed cell (GGA+U, the Materials Project)

Structural model:
Unit cell a=8.2344 b=8.2344 c=3.1161 alpha=90.00 beta=90.00 gamma=120.00
Positions (direct):
Li1 0.0145 0.3774 0.0000
Li2 0.3629 0.9855 0.0000
Li3 0.6226 0.6371 0.0000
Co1 0.3101 0.2954 0.5000
Co2 0.7046 0.0147 0.5000
Co3 0.9853 0.6899 0.5000
B1 0.0000 0.0000 0.0000
B2 0.3333 0.6667 0.5000
B3 0.6667 0.3333 0.5000
O1 0.1948 0.1098 0.0000
O2 0.2200 0.4726 0.5000
O3 0.2525 0.7800 0.5000
O4 0.5274 0.7475 0.5000
O5 0.5559 0.1397 0.5000
O6 0.5838 0.4441 0.5000
O7 0.8603 0.4162 0.5000
O8 0.8902 0.0850 0.0000
O9 0.9150 0.8052 0.0000

Principal peaks in the range 10° ≤ 2θ ≤ 90°, low angle first:
- d = 4.117 Å, I = 1000
- d = 3.116 Å, I = 428
- d = 2.485 Å, I = 724
- d = 2.377 Å, I = 347
- d = 2.059 Å, I = 200
- d = 1.890 Å, I = 214
- d = 1.718 Å, I = 277
- d = 1.557 Å, I = 203

***

Record 7
Theoretical X-ray powder pattern
Compound: MgAl2Co2O6
Radiation: Cu Ka
Structure: a DFT-relaxed cell (GGA+U, the Materials Project)

Structural model:
Unit cell a=4.9286 b=5.3046 c=5.7031 alpha=92.05 beta=114.30 gamma=117.04
Positions (direct):
Mg1 0.0000 0.0000 0.0000
Al1 0.5196 0.2660 0.6159
Al2 0.8309 0.3586 0.1996
Co1 0.2777 0.6416 0.8240
Co2 0.6277 0.7916 0.3673
O1 0.0678 0.1273 0.3949
O2 0.1605 0.4438 0.0949
O3 0.4305 0.0149 0.0638
O4 0.5885 0.9635 0.6579
O5 0.6560 0.5338 0.9164
O6 0.8145 0.5038 0.4895

Principal peaks in the range 10° ≤ 2θ ≤ 90°, low angle first:
- d = 4.188 Å, I = 321
- d = 2.666 Å, I = 675
- d = 2.641 Å, I = 561
- d = 2.520 Å, I = 484
- d = 2.498 Å, I = 553
- d = 2.460 Å, I = 1000
- d = 1.769 Å, I = 290
- d = 1.740 Å, I = 236

***

Record 8
Theoretical X-ray powder pattern
Compound: BaNaCeFeO6
Radiation: Cu Ka
Structure: a DFT-relaxed cell (GGA+U, the Materials Project)

Structural model:
Unit cell a=5.8380 b=5.8380 c=5.8380 alpha=60.00 beta=60.00 gamma=60.00
Positions (direct):
Ba1 0.0000 0.0000 0.0000
Na1 0.5000 0.5000 0.5000
Ce1 0.2500 0.2500 0.2500
Fe1 0.7500 0.7500 0.7500
O1 0.5169 0.5169 0.9831
O2 0.5169 0.9831 0.5169
O3 0.5169 0.9831 0.9831
O4 0.9831 0.5169 0.5169
O5 0.9831 0.5169 0.9831
O6 0.9831 0.9831 0.5169

Principal peaks in the range 10° ≤ 2θ ≤ 90°, low angle first:
- d = 4.767 Å, I = 345
- d = 2.919 Å, I = 1000
- d = 2.489 Å, I = 228
- d = 2.064 Å, I = 351
- d = 1.685 Å, I = 390
- d = 1.459 Å, I = 208
- d = 1.305 Å, I = 174
- d = 1.103 Å, I = 208

***

Record 9
Theoretical X-ray powder pattern
Compound: Ti4Ni15O24
Radiation: Cu Ka
Structure: a DFT-relaxed cell (GGA+U, the Materials Project)

Structural model:
Unit cell a=5.9518 b=5.9518 c=14.5042 alpha=90.00 beta=90.00 gamma=120.00
Positions (direct):
Ti1 0.0000 0.0000 0.1240
Ti2 0.0000 0.0000 0.8760
Ti3 0.3333 0.6667 0.7893
Ti4 0.6667 0.3333 0.2107
Ni1 0.0000 0.0000 0.5000
Ni2 0.0000 0.5000 0.0000
Ni3 0.0000 0.5000 0.5000
Ni4 0.1648 0.3295 0.3326
Ni5 0.1648 0.8352 0.3326
Ni6 0.3295 0.1648 0.6674
Ni7 0.3333 0.6667 0.1669
Ni8 0.5000 0.0000 0.0000
Ni9 0.5000 0.0000 0.5000
Ni10 0.5000 0.5000 0.0000
Ni11 0.5000 0.5000 0.5000
Ni12 0.6667 0.3333 0.8331
Ni13 0.6705 0.8352 0.3326
Ni14 0.8352 0.1648 0.6674
Ni15 0.8352 0.6705 0.6674
O1 0.0000 0.0000 0.2508
O2 0.0000 0.0000 0.7492
O3 0.0059 0.5029 0.2517
O4 0.1500 0.2999 0.5750
O5 0.1500 0.8500 0.5750
O6 0.1696 0.3392 0.0824
O7 0.1696 0.8304 0.0824
O8 0.2999 0.1500 0.4250
O9 0.3333 0.6667 0.4161
O10 0.3333 0.6667 0.9170
O11 0.3392 0.1696 0.9176
O12 0.4971 0.5029 0.2517
O13 0.4971 0.9941 0.2517
O14 0.5029 0.0059 0.7482
O15 0.5029 0.4971 0.7482
O16 0.6608 0.8304 0.0824
O17 0.6667 0.3333 0.0830
O18 0.6667 0.3333 0.5839
O19 0.7001 0.8500 0.5750
O20 0.8304 0.1696 0.9176
O21 0.8304 0.6608 0.9176
O22 0.8500 0.1500 0.4250
O23 0.8500 0.7001 0.4250
O24 0.9941 0.4971 0.7482

Principal peaks in the range 10° ≤ 2θ ≤ 90°, low angle first:
- d = 4.856 Å, I = 316
- d = 2.535 Å, I = 739
- d = 2.528 Å, I = 268
- d = 2.428 Å, I = 485
- d = 2.101 Å, I = 1000
- d = 1.618 Å, I = 274
- d = 1.488 Å, I = 488
- d = 1.483 Å, I = 499